This entry pairs a crystal structure of VFe3P6O24 with its computed XRD peak list. Radiation: Cu Kα X-rays. Structure: a crystal structure in the Materials Project, relaxed with PBE+U.

Cell: 8.6546 8.6546 21.9598 Å, 90.00 90.00 120.00°
Space group R3 (No. 146, hexagonal axes)
Asymmetric unit:
V 0.0000 0.0000 0.0000 x3
Fe 0.0000 0.0000 0.2169 x3
Fe 0.0000 0.0000 0.5011 x3
Fe 0.0000 0.0000 0.7156 x3
P 0.0003 0.2830 0.1085 x9
P 0.0006 0.7156 0.6091 x9
O 0.0208 0.1871 0.0516 x9
O 0.0263 0.8292 0.2693 x9
O 0.0296 0.1982 0.7691 x9
O 0.0403 0.8314 0.5523 x9
O 0.1622 0.6992 0.3327 x9
O 0.1641 0.4636 0.8325 x9
O 0.1683 0.6927 0.6197 x9
O 0.1704 0.4641 0.1131 x9

Main lines, in order of rising 2θ (2θ = 5–70°):
| Position (°2θ) | d/Å | I/Imax | (hkl) |
| --- | --- | --- | --- |
| 14.31 | 6.190 | 44.7 | 0 1 2 |
| 20.05 | 4.429 | 57.9 | 1 0 4 |
| 20.52 | 4.327 | 27.8 | 1 1 0 |
| 23.89 | 3.725 | 100.0 | 1 1 3 |
| 28.85 | 3.095 | 49.7 | 0 2 4 |
| 31.85 | 2.810 | 14.8 | 3 -1 1 |
| 32.03 | 2.794 | 32.5 | 2 -1 6 |
| 35.95 | 2.498 | 13.6 | 3 0 0 |
| 46.04 | 1.971 | 12.1 | 1 2 8 |
| 48.90 | 1.863 | 11.6 | 4 -2 6 |
| 52.77 | 1.735 | 20.0 | 3 -1 10 |
| 56.24 | 1.636 | 12.7 | 4 1 0 |